# Tl3W2F9
Computed powder XRD pattern, Cu Kα X-rays. Input: a structure optimized by DFT (GGA+U).

Crystal structure
Lattice parameters (Å, degrees): 10.9561 10.9561 15.3991 90.00 90.00 120.00
Space group R-3c (No. 167, hexagonal axes)
Asymmetric unit:
Tl: 0.0000 0.3694 0.2500 [18 per cell]
W: 0.0000 0.0000 0.1511 [12 per cell]
F: 0.0000 0.1441 0.7500 [18 per cell]
F: 0.0030 0.1663 0.0841 [36 per cell]

Main lines, in order of falling intensity (10 to 90 degrees two-theta):
| d (Å) | I_rel |
| --- | --- |
| 3.163 | 100.0 |
| 3.746 | 90.3 |
| 2.417 | 48.5 |
| 2.324 | 39.4 |
| 1.873 | 27.4 |
| 3.567 | 26.2 |
| 4.039 | 25.1 |
| 2.173 | 23.4 |
| 1.611 | 22.8 |
| 1.826 | 13.9 |
| 2.624 | 13.9 |
| 2.095 | 13.0 |